# Dy6In5Hg
Computed powder diffractogram, λ = 1.5418 Å (Cu Kα). Input: a structure optimized by DFT (GGA-PBE).
Kinematic intensities with the Lorentz-polarization factor, no thermal factor.

Structure:
Cell lengths 5.331, 7.446, 8.422 Å; angles 90.00, 108.14, 90.00 degrees
Space group P2/m (No. 10)
Unique sites:
Dy  0.000  0.247  0.000 (multiplicity 2)
Dy  0.335  0.249  0.669 (multiplicity 4)
In  0.165  0.000  0.332 (multiplicity 2)
In  0.167  0.500  0.334 (multiplicity 2)
In  0.500  0.500  0.000 (multiplicity 1)
Hg  0.500  0.000  0.000 (multiplicity 1)

Peak list (6 most intense, 10 to 90 degrees two-theta, by intensity)
d [Å]  I/Imax
2.649  100
2.667  51
1.538  19
1.534  19
1.526  18
1.891  9